The following is a theoretical X-ray diffraction stick pattern of Ba2Ca2Tl2Cu3O10. It was derived from a crystal structure in the Materials Project, relaxed with GGA-PBE, using Cu Ka.
Intensities are scaled so that the largest is 100.

Cell and atoms:
abc: 3.8836 3.8990 18.7618
angles: 84.16 84.23 89.94
Space group P1 (No. 1)
Unique sites:
1 Ba 0.0000 0.0000 0.0000
2 Ba 0.3436 0.3029 0.4356
3 Ca 0.1049 0.0789 0.8071
4 Ca 0.2449 0.1905 0.6289
5 Tl 0.4441 0.4096 0.1553
6 Tl 0.8978 0.8513 0.2800
7 Cu 0.5540 0.5447 0.8898
8 Cu 0.6874 0.6250 0.7174
9 Cu 0.7930 0.7402 0.5460
10 O 0.0512 0.5433 0.8948
11 O 0.1848 0.6175 0.7248
12 O 0.2917 0.7364 0.5494
13 O 0.4032 0.4859 0.2669
14 O 0.4806 0.4914 0.0442
15 O 0.5574 0.0463 0.8869
16 O 0.6980 0.1273 0.7107
17 O 0.7964 0.2432 0.5405
18 O 0.8610 0.8330 0.3911
19 O 0.9400 0.0318 0.1682

Main lines, in order of rising 2θ (2θ from 10° to 90°):
| Position (°2θ) | I_rel |
| --- | --- |
| 25.82 | 32 |
| 28.42 | 96 |
| 28.53 | 34 |
| 31.57 | 61 |
| 32.54 | 100 |
| 32.90 | 26 |
| 33.79 | 30 |
| 46.59 | 25 |
| 46.79 | 26 |
| 47.65 | 27 |